Structure and calculated XRD peak list of LiPrBr4 (a structure optimized by DFT (PBE); CuKα).

Largest 12 diffraction maxima, in order of falling intensity, 2θ from 10° to 90°:
2θ 28.2, intensity 100; 2θ 14.0, intensity 40; 2θ 19.3, intensity 37; 2θ 33.5, intensity 34; 2θ 25.8, intensity 31; 2θ 27.2, intensity 27; 2θ 44.7, intensity 27; 2θ 44.0, intensity 23; 2θ 40.7, intensity 19; 2θ 40.1, intensity 17; 2θ 39.6, intensity 15; 2θ 19.5, intensity 14

Cell and atoms:
Lattice parameters (Å, degrees): 8.862 18.136 6.863 90.00 128.87 90.00
Space group C2/c (No. 15)
Symmetry-distinct sites (fractional):
Li1 0.000 0.137 0.250 (multiplicity 4)
Pr1 0.000 0.333 0.750 (multiplicity 4)
Br1 0.206 0.203 0.715 (multiplicity 8)
Br2 0.236 0.429 0.719 (multiplicity 8)

---

Structure and calculated XRD peak list of Li4Pr2Br9 (a structure optimized by DFT (PBE); CuKα).

Largest 12 diffraction maxima, in order of falling intensity, 2θ from 10° to 90°:
2θ 28.5, intensity 100; 2θ 37.5, intensity 50; 2θ 43.7, intensity 38; 2θ 14.3, intensity 32; 2θ 49.4, intensity 21; 2θ 31.3, intensity 18; 2θ 28.8, intensity 17; 2θ 17.0, intensity 16; 2θ 53.0, intensity 14; 2θ 23.3, intensity 14; 2θ 74.6, intensity 13; 2θ 59.0, intensity 12

Cell and atoms:
Lattice parameters (Å, degrees): 12.417 7.167 19.346 90.00 90.00 90.00
Space group C2/c (No. 15)
Symmetry-distinct sites (fractional):
Li1 0.167 0.000 0.165 (multiplicity 8)
Li2 0.167 0.000 0.487 (multiplicity 8)
Pr1 0.000 0.500 0.157 (multiplicity 8)
Br1 0.000 0.162 0.250 (multiplicity 4)
Br2 0.010 0.142 0.582 (multiplicity 8)
Br3 0.169 0.331 0.750 (multiplicity 8)
Br4 0.174 0.306 0.082 (multiplicity 8)
Br5 0.184 0.335 0.418 (multiplicity 8)

---

Structure and calculated XRD peak list of LiPrBr2 (a structure optimized by DFT (PBE); CuKα).

Largest 12 diffraction maxima, in order of falling intensity, 2θ from 10° to 90°:
2θ 33.1, intensity 100; 2θ 31.1, intensity 88; 2θ 47.8, intensity 47; 2θ 11.2, intensity 46; 2θ 27.3, intensity 42; 2θ 60.0, intensity 33; 2θ 28.1, intensity 32; 2θ 38.2, intensity 32; 2θ 34.1, intensity 29; 2θ 59.4, intensity 18; 2θ 79.6, intensity 16; 2θ 68.6, intensity 15

Cell and atoms:
Lattice parameters (Å, degrees): 3.8068 3.8068 23.6374 90.00 90.00 120.00
Space group R3m (No. 160, hexagonal axes)
Symmetry-distinct sites (fractional):
Li1 0.0000 0.0000 0.0000 (multiplicity 3)
Pr1 0.0000 0.0000 0.1663 (multiplicity 3)
Br1 0.0000 0.0000 0.4014 (multiplicity 3)
Br2 0.0000 0.0000 0.5985 (multiplicity 3)

---

Structure and calculated XRD peak list of LiPrSeBr (a structure optimized by DFT (PBE); CuKα).

Largest 12 diffraction maxima, in order of falling intensity, 2θ from 10° to 90°:
2θ 28.6, intensity 100; 2θ 12.1, intensity 60; 2θ 43.6, intensity 42; 2θ 43.1, intensity 23; 2θ 33.5, intensity 20; 2θ 38.0, intensity 20; 2θ 36.5, intensity 19; 2θ 68.2, intensity 19; 2θ 26.1, intensity 19; 2θ 53.0, intensity 18; 2θ 24.8, intensity 15; 2θ 70.9, intensity 15

Cell and atoms:
Lattice parameters (Å, degrees): 4.1520 4.1520 44.0110 90.00 90.00 120.00
Space group R-3m (No. 166, hexagonal axes)
Symmetry-distinct sites (fractional):
Li1 0.0000 0.0000 0.1878 (multiplicity 6)
Pr1 0.0000 0.0000 0.4182 (multiplicity 6)
Se1 0.0000 0.0000 0.1276 (multiplicity 6)
Br1 0.0000 0.0000 0.2908 (multiplicity 6)

---

Structure and calculated XRD peak list of Li2PtBr5 (a structure optimized by DFT (PBE); CuKα).

Largest 12 diffraction maxima, in order of falling intensity, 2θ from 10° to 90°:
2θ 18.9, intensity 100; 2θ 33.5, intensity 83; 2θ 12.2, intensity 77; 2θ 47.5, intensity 60; 2θ 32.8, intensity 45; 2θ 14.3, intensity 43; 2θ 19.3, intensity 40; 2θ 46.8, intensity 33; 2θ 38.3, intensity 24; 2θ 14.9, intensity 22; 2θ 39.2, intensity 21; 2θ 28.8, intensity 20

Cell and atoms:
Lattice parameters (Å, degrees): 5.468 14.511 11.897 90.00 90.00 90.00
Space group Cmcm (No. 63)
Symmetry-distinct sites (fractional):
Li1 0.000 0.191 0.062 (multiplicity 8)
Pt1 0.000 0.201 0.750 (multiplicity 4)
Br1 0.000 0.079 0.604 (multiplicity 8)
Br2 0.000 0.291 0.250 (multiplicity 4)
Br3 0.000 0.322 0.598 (multiplicity 8)

---

Structure and calculated XRD peak list of LiTl2PtBr6 (a structure optimized by DFT (PBE); CuKα).

Largest 12 diffraction maxima, in order of falling intensity, 2θ from 10° to 90°:
2θ 30.4, intensity 100; 2θ 32.5, intensity 59; 2θ 24.2, intensity 55; 2θ 49.6, intensity 53; 2θ 36.6, intensity 46; 2θ 27.0, intensity 39; 2θ 18.1, intensity 32; 2θ 13.8, intensity 28; 2θ 44.3, intensity 23; 2θ 27.7, intensity 22; 2θ 47.3, intensity 21; 2θ 49.3, intensity 21

Cell and atoms:
Lattice parameters (Å, degrees): 7.3565 7.3565 38.5800 90.00 90.00 120.00
Space group R-3m (No. 166, hexagonal axes)
Symmetry-distinct sites (fractional):
Li1 0.0000 0.0000 0.0791 (multiplicity 6)
Tl1 0.0000 0.0000 0.1949 (multiplicity 6)
Tl2 0.0000 0.0000 0.3834 (multiplicity 6)
Pt1 0.0000 0.0000 0.0000 (multiplicity 3)
Pt2 0.0000 0.0000 0.5000 (multiplicity 3)
Br1 0.0022 0.5011 0.2055 (multiplicity 18)
Br2 0.0051 0.5025 0.6282 (multiplicity 18)

---

Structure and calculated XRD peak list of Li3PuBr8 (a structure optimized by DFT (PBE); CuKα).

Largest 12 diffraction maxima, in order of falling intensity, 2θ from 10° to 90°:
2θ 30.8, intensity 100; 2θ 13.4, intensity 84; 2θ 13.0, intensity 77; 2θ 44.8, intensity 56; 2θ 31.1, intensity 50; 2θ 15.3, intensity 41; 2θ 27.0, intensity 31; 2θ 44.0, intensity 29; 2θ 25.8, intensity 26; 2θ 22.0, intensity 25; 2θ 55.6, intensity 23; 2θ 15.4, intensity 20

Cell and atoms:
Lattice parameters (Å, degrees): 14.017 8.089 8.325 90.00 124.96 90.00
Space group C2/m (No. 12)
Symmetry-distinct sites (fractional):
Li1 0.000 0.000 0.000 (multiplicity 2)
Li2 0.250 0.250 0.000 (multiplicity 4)
Pu1 0.000 0.500 0.000 (multiplicity 2)
Br1 0.000 0.264 0.232 (multiplicity 8)
Br2 0.225 0.000 0.172 (multiplicity 4)
Br3 0.237 0.500 0.232 (multiplicity 4)

---

Structure and calculated XRD peak list of LiPu2Br8 (a structure optimized by DFT (PBE); CuKα).

Largest 12 diffraction maxima, in order of falling intensity, 2θ from 10° to 90°:
2θ 14.2, intensity 100; 2θ 26.1, intensity 76; 2θ 13.7, intensity 63; 2θ 27.1, intensity 59; 2θ 27.5, intensity 59; 2θ 35.7, intensity 57; 2θ 18.2, intensity 47; 2θ 35.1, intensity 38; 2θ 42.2, intensity 30; 2θ 39.0, intensity 24; 2θ 20.3, intensity 22; 2θ 36.8, intensity 22

Cell and atoms:
Lattice parameters (Å, degrees): 13.230 7.263 10.936 90.00 112.97 90.00
Space group C2/m (No. 12)
Symmetry-distinct sites (fractional):
Li1 0.000 0.000 0.000 (multiplicity 2)
Pu1 0.104 0.000 0.386 (multiplicity 4)
Br1 0.064 0.251 0.187 (multiplicity 8)
Br2 0.123 0.000 0.657 (multiplicity 4)
Br3 0.172 0.500 0.529 (multiplicity 4)